The following is a theoretical powder XRD pattern of K2FeH4S2O10. It was derived from a DFT-relaxed cell (GGA+U, Alexandria), using copper Kα.
Peak positions follow from Bragg's law for the DFT cell and can differ from measured ones.

Crystal structure
```
data_K2FeH4S2O10
_chemical_formula_sum 'K4 Fe2 H8 S4 O20'
_cell_length_a 6.600
_cell_length_b 7.509
_cell_length_c 10.795
_cell_angle_alpha 72.64
_cell_angle_beta 73.61
_cell_angle_gamma 68.76
_symmetry_space_group_name_H-M 'P -1'
_symmetry_Int_Tables_number 2
loop_
_symmetry_equiv_pos_as_xyz
'x,y,z'
'-x,-y,-z'
loop_
_atom_site_label
_atom_site_type_symbol
_atom_site_fract_x
_atom_site_fract_y
_atom_site_fract_z
K1 K 0.205 0.248 0.101
K2 K 0.267 0.740 0.426
Fe1 Fe 0.249 0.028 0.751
H1 H 0.156 0.423 0.711
H2 H 0.268 0.664 0.863
H3 H 0.356 0.325 0.794
H4 H 0.375 0.680 0.708
S1 S 0.259 0.779 0.075
S2 S 0.267 0.228 0.414
O1 O 0.068 0.362 0.361
O2 O 0.101 0.876 0.184
O3 O 0.162 0.655 0.040
O4 O 0.195 0.109 0.548
O5 O 0.240 0.734 0.773
O6 O 0.284 0.308 0.730
O7 O 0.305 0.936 0.956
O8 O 0.398 0.088 0.323
O9 O 0.409 0.338 0.422
O10 O 0.469 0.660 0.121
```

Peak list (10 most intense, 2θ = 15–90°, in order of rising 2θ)
d 5.662, I = 52, hkl 1 1 1
d 3.690, I = 37, hkl -1 1 1
d 3.665, I = 58, hkl 1 2 1
d 3.414, I = 32, hkl 0 2 0
d 3.221, I = 100, hkl 1 0 3
d 3.171, I = 27, hkl 0 2 2
d 3.016, I = 74, hkl 2 0 0
d 2.979, I = 27, hkl 1 2 -1
d 2.723, I = 55, hkl 1 0 -3
d 2.495, I = 27, hkl 1 3 1